For NdZn6Cu, a cell relaxed with GGA-PBE gives the computed powder diffraction line list in this record (λ = 1.5418 Å (Cu Kα)).
Kinematic intensities with the Lorentz-polarization factor, no thermal factor.

Largest 10 diffraction maxima, in order of rising 2θ, 15° ≤ 2θ ≤ 90°:
d [Å]	I (rel.)
2.931	83
2.782	100
2.400	71
2.291	28
2.090	99
2.009	50
1.844	35
1.702	33
1.478	31
1.383	26

Structure:
Cell lengths 4.1809, 4.1809, 8.2184 Å; angles 90.00, 90.00, 90.00 degrees
Element x y z (fractional)
Nd 0.0000 0.0000 0.0000
Zn 0.0000 0.5000 0.3331
Zn 0.0000 0.5000 0.6669
Zn 0.5000 0.0000 0.3331
Zn 0.5000 0.0000 0.6669
Zn 0.5000 0.5000 0.1493
Zn 0.5000 0.5000 0.8507
Cu 0.0000 0.0000 0.5000



For Cs4MnI6, a cell relaxed with GGA-PBE gives the computed powder diffraction line list in this record (λ = 1.5418 Å (Cu Kα)).
Kinematic intensities with the Lorentz-polarization factor, no thermal factor.

Largest 10 diffraction maxima, in order of rising 2θ, 15° ≤ 2θ ≤ 90°:
d [Å]	I (rel.)
4.149	90
4.043	79
3.715	47
3.623	77
3.612	70
3.259	53
3.232	63
3.171	43
2.695	100
2.229	35

Structure:
Cell lengths 9.3052, 9.3052, 19.6630 Å; angles 105.19, 105.19, 51.51 degrees
Element x y z (fractional)
Cs 0.0583 0.5567 0.7543
Cs 0.1962 0.6997 0.1753
Cs 0.2413 0.7587 0.5000
Cs 0.4045 0.8953 0.8782
Cs 0.5567 0.0583 0.2543
Cs 0.6997 0.1962 0.6753
Cs 0.7587 0.2413 0.0000
Cs 0.8953 0.4045 0.3782
Mn 0.0200 0.5005 0.9827
Mn 0.5005 0.0200 0.4827
I 0.0761 0.6041 0.3154
I 0.1888 0.6448 0.9686
I 0.2179 0.2289 0.5594
I 0.2289 0.2179 0.0594
I 0.2570 0.7420 0.6932
I 0.3841 0.8943 0.3554
I 0.6041 0.0761 0.8154
I 0.6448 0.1888 0.4686
I 0.7362 0.7486 0.0570
I 0.7420 0.2570 0.1932
I 0.7486 0.7362 0.5570
I 0.8943 0.3841 0.8554



For Ag7Hg3Au2, a cell relaxed with GGA-PBE gives the computed powder diffraction line list in this record (λ = 1.5418 Å (Cu Kα)).
Kinematic intensities with the Lorentz-polarization factor, no thermal factor.

Largest 10 diffraction maxima, in order of rising 2θ, 15° ≤ 2θ ≤ 90°:
d [Å]	I (rel.)
3.448	11
3.170	8
3.121	13
2.675	13
2.495	37
2.450	35
2.263	100
1.748	25
1.391	21
1.376	20

Structure:
Cell lengths 10.6763, 10.6763, 4.9896 Å; angles 90.00, 90.00, 153.47 degrees
Element x y z (fractional)
Ag 0.0000 0.0000 0.0000
Ag 0.0753 0.9247 0.5000
Ag 0.2819 0.7181 0.0000
Ag 0.4258 0.5742 0.0000
Ag 0.5742 0.4258 0.0000
Ag 0.7181 0.2819 0.0000
Ag 0.9247 0.0753 0.5000
Hg 0.3423 0.6577 0.5000
Hg 0.5000 0.5000 0.5000
Hg 0.6577 0.3423 0.5000
Au 0.1457 0.8543 0.0000
Au 0.8543 0.1457 0.0000



For CsK3Cd8, a cell relaxed with GGA-PBE gives the computed powder diffraction line list in this record (λ = 1.5418 Å (Cu Kα)).
Kinematic intensities with the Lorentz-polarization factor, no thermal factor.

Largest 10 diffraction maxima, in order of rising 2θ, 15° ≤ 2θ ≤ 90°:
d [Å]	I (rel.)
5.577	33
3.000	45
2.757	96
2.698	100
2.670	31
2.472	40
1.756	24
1.696	35
1.610	29
1.379	23

Structure:
Cell lengths 6.4402, 6.4402, 10.6783 Å; angles 90.00, 90.00, 120.00 degrees
Element x y z (fractional)
Cs 0.0000 0.0000 0.0000
K 0.0000 0.0000 0.3863
K 0.6667 0.3333 0.5044
K 0.6667 0.3333 0.8798
Cd 0.1682 0.3365 0.6867
Cd 0.1682 0.8318 0.6867
Cd 0.3333 0.6667 0.4368
Cd 0.3333 0.6667 0.9438
Cd 0.5021 0.0042 0.1998
Cd 0.5021 0.4979 0.1998
Cd 0.6635 0.8318 0.6867
Cd 0.9958 0.4979 0.1998